No. 1
Starting from a DFT-relaxed cell (GGA-PBE, OQMD), the powder diffraction line list of DyNbN2O was computed for a wavelength of 1.5418 Å.

Crystal structure
Unit cell a=7.9198 b=7.9613 c=11.1205 alpha=90.00 beta=134.51 gamma=90.00
Space group P2_1/c (No. 14)
One atom of each set of equivalent atoms:
Dy  0.2151  0.0109  0.4768 [4 per cell]
Dy  0.2365  0.5055  0.4962 [4 per cell]
Nb  0.2668  0.2470  0.2574 [4 per cell]
Nb  0.2691  0.7472  0.7630 [4 per cell]
N  0.1763  0.0043  0.1989 [4 per cell]
N  0.2329  0.5047  0.2659 [4 per cell]
N  0.4281  0.2360  0.6788 [4 per cell]
N  0.4298  0.7145  0.0007 [4 per cell]
O  0.0820  0.7235  0.0007 [4 per cell]
O  0.0862  0.2429  0.8376 [4 per cell]

The 6 most intense peaks (10 to 90 degrees two-theta), sorted by position:
(hkl)  2θ/deg  intensity
2 0 0  31.69  27
2 2 -2  31.87  100
2 0 -4  32.20  28
4 0 -4  45.80  23
2 4 0  56.56  30
4 2 -6  57.20  22


No. 2
Starting from a DFT-relaxed cell (GGA-PBE, OQMD), the powder diffraction line list of DyNbN2O was computed for a wavelength of 1.5418 Å.

Crystal structure
Unit cell a=7.8373 b=5.5186 c=5.7650 alpha=90.00 beta=90.00 gamma=90.00
Space group Pmc2_1 (No. 26)
One atom of each set of equivalent atoms:
Dy  0.0000  0.2475  0.0000 [2 per cell]
Dy  0.5000  0.2494  0.1192 [2 per cell]
Nb  0.2567  0.2652  0.5726 [4 per cell]
N  0.0000  0.3418  0.5805 [2 per cell]
N  0.3019  0.4399  0.8605 [4 per cell]
N  0.5000  0.1411  0.5054 [2 per cell]
O  0.1978  0.0640  0.2289 [4 per cell]

The 6 most intense peaks (10 to 90 degrees two-theta), sorted by position:
(hkl)  2θ/deg  intensity
0 0 2  31.03  22
2 1 1  32.03  100
0 2 0  32.45  26
0 2 2  45.51  18
4 0 0  46.34  13
4 2 0  57.65  33


No. 3
Starting from a DFT-relaxed cell (GGA-PBE, OQMD), the powder diffraction line list of DyNbN2O was computed for a wavelength of 1.5418 Å.

Crystal structure
Unit cell a=7.8735 b=5.6268 c=5.6872 alpha=90.00 beta=90.00 gamma=90.00
Space group Ima2 (No. 46)
One atom of each set of equivalent atoms:
Dy  0.2500  0.0279  0.0000 [4 per cell]
Nb  0.0000  0.0000  0.4905 [4 per cell]
N  0.0671  0.2496  0.2691 [8 per cell]
O  0.2500  0.6242  0.0240 [4 per cell]

The 6 most intense peaks (10 to 90 degrees two-theta), sorted by position:
(hkl)  2θ/deg  intensity
0 0 2  31.46  22
2 1 1  31.88  100
0 2 2  45.35  19
2 1 3  56.29  17
2 3 1  56.72  16
4 0 2  56.89  10


No. 4
Starting from a DFT-relaxed cell (GGA-PBE, OQMD), the powder diffraction line list of DyPaNO was computed for a wavelength of 1.5418 Å.

Crystal structure
Unit cell a=8.2609 b=6.7511 c=5.0728 alpha=90.00 beta=90.00 gamma=90.00
Space group Pbcm (No. 57)
One atom of each set of equivalent atoms:
Dy  0.1238  0.0876  0.2500 [4 per cell]
Pa  0.3797  0.5501  0.2500 [4 per cell]
N  0.1204  0.0706  0.7500 [4 per cell]
O  0.3507  0.5989  0.7500 [4 per cell]

The 6 most intense peaks (10 to 90 degrees two-theta), sorted by position:
(hkl)  2θ/deg  intensity
2 1 0  25.28  23
0 2 0  26.40  26
2 1 1  30.90  100
0 2 1  31.84  27
0 0 2  35.39  29
4 0 2  57.55  23


No. 5
Starting from a DFT-relaxed cell (GGA-PBE, OQMD), the powder diffraction line list of PmDyNO was computed for a wavelength of 1.5418 Å.

Crystal structure
Unit cell a=4.9619 b=4.0423 c=6.9814 alpha=90.00 beta=90.00 gamma=90.00
Space group Pmma (No. 51)
One atom of each set of equivalent atoms:
Pm  0.2500  0.0000  0.1644 [2 per cell]
Dy  0.2500  0.5000  0.6664 [2 per cell]
N  0.2500  0.5000  0.3427 [2 per cell]
O  0.2500  0.0000  0.8120 [2 per cell]

The 6 most intense peaks (10 to 90 degrees two-theta), sorted by position:
(hkl)  2θ/deg  intensity
0 1 1  25.48  43
1 0 2  31.30  100
2 0 0  36.21  22
0 2 0  44.82  30
0 1 3  44.95  24
2 2 0  59.00  32


No. 6
Starting from a DFT-relaxed cell (GGA-PBE, OQMD), the powder diffraction line list of PmDyNO was computed for a wavelength of 1.5418 Å.

Crystal structure
Unit cell a=8.1758 b=6.7327 c=5.0070 alpha=90.00 beta=90.00 gamma=90.00
Space group Pbcm (No. 57)
One atom of each set of equivalent atoms:
Pm  0.1247  0.0690  0.2500 [4 per cell]
Dy  0.3766  0.5843  0.2500 [4 per cell]
N  0.3812  0.5769  0.7500 [4 per cell]
O  0.1407  0.0887  0.7500 [4 per cell]

The 6 most intense peaks (10 to 90 degrees two-theta), sorted by position:
(hkl)  2θ/deg  intensity
2 1 0  25.49  35
2 1 1  31.21  100
0 2 1  32.04  39
0 0 2  35.87  33
2 3 0  46.14  31
2 3 2  59.79  28


No. 7
Starting from a DFT-relaxed cell (GGA-PBE, OQMD), the powder diffraction line list of Dy3S2NO was computed for a wavelength of 1.5418 Å.

Crystal structure
Unit cell a=15.1146 b=3.8137 c=9.5029 alpha=90.00 beta=99.41 gamma=90.00
Space group C2/m (No. 12)
One atom of each set of equivalent atoms:
Dy  0.0518  0.0000  0.2643 [4 per cell]
Dy  0.1112  0.5000  0.9444 [4 per cell]
Dy  0.1980  0.0000  0.6712 [4 per cell]
S  0.1347  0.5000  0.4708 [4 per cell]
S  0.2147  0.0000  0.1517 [4 per cell]
N  0.0958  0.0000  0.8052 [4 per cell]
O  0.0395  0.5000  0.1394 [4 per cell]

The 6 most intense peaks (10 to 90 degrees two-theta), sorted by position:
(hkl)  2θ/deg  intensity
4 0 1  27.15  37
4 0 -2  28.04  44
3 1 -1  30.13  39
1 1 2  31.43  100
5 1 0  38.30  34
3 1 -4  46.60  32


No. 8
Starting from a DFT-relaxed cell (GGA-PBE, OQMD), the powder diffraction line list of DySbN2O was computed for a wavelength of 1.5418 Å.

Crystal structure
Unit cell a=3.5858 b=6.3711 c=5.9061 alpha=90.00 beta=90.00 gamma=90.00
Space group Pmc2_1 (No. 26)
One atom of each set of equivalent atoms:
Dy  0.0000  0.1521  0.0000 [2 per cell]
Sb  0.5000  0.3268  0.5392 [2 per cell]
N  0.0000  0.1955  0.6042 [2 per cell]
N  0.5000  0.3929  0.8943 [2 per cell]
O  0.5000  0.1099  0.2705 [2 per cell]

The 6 most intense peaks (10 to 90 degrees two-theta), sorted by position:
(hkl)  2θ/deg  intensity
1 1 0  28.57  33
0 0 2  30.27  43
0 2 1  31.92  58
1 1 1  32.41  100
1 1 2  42.10  26
1 3 2  59.49  28